No. 1
The following is a computed X-ray diffraction stick pattern of Ac4Ga3Pd5. It was derived from a GGA-PBE-relaxed structure, using a wavelength of 1.5418 Å.

Most intense lines, 10° ≤ 2θ ≤ 90°, in order of rising 2θ:
d_spacing, intensity
3.319, 50.3
3.282, 58.1
2.976, 78.7
2.884, 54.0
2.799, 72.2
2.761, 65.4
2.505, 82.4
2.445, 48.8
2.420, 48.2
2.348, 100.0

Crystal structure
```
Ac4Ga3Pd5
1.0
7.204 -2.348 0.000
7.204 2.348 0.000
-6.795 0.000 9.084
Ac Ga Pd
4 3 5
direct
0.024 0.024 0.297
0.260 0.260 0.744
0.740 0.740 0.256
0.976 0.976 0.703
0.000 0.000 0.000
0.306 0.306 0.072
0.694 0.694 0.928
0.305 0.305 0.492
0.417 0.417 0.353
0.500 0.500 0.000
0.583 0.583 0.647
0.695 0.695 0.508
```

---

No. 2
The following is a computed X-ray diffraction stick pattern of Nd2ZnSn. It was derived from a GGA-PBE-relaxed structure, using a wavelength of 1.5418 Å.

Most intense lines, 10° ≤ 2θ ≤ 90°, in order of rising 2θ:
d_spacing, intensity
2.999, 100.0
2.952, 25.3
2.932, 39.4
2.447, 28.6
2.436, 55.8
2.197, 23.2
2.188, 24.8
1.753, 17.6
1.575, 16.6
1.278, 16.5

Crystal structure
```
Nd2ZnSn
1.0
6.298 0.000 0.000
0.000 4.376 0.000
-3.065 0.000 8.238
Nd Zn Sn
4 2 2
direct
0.212 0.250 0.442
0.213 0.250 0.914
0.787 0.750 0.086
0.788 0.750 0.558
0.363 0.750 0.714
0.637 0.250 0.286
0.340 0.750 0.208
0.660 0.250 0.792
```